# 1
Computed powder XRD pattern
Compound: Cu2Ag3
Radiation: a wavelength of 1.5418 Å
Structure: the GGA-PBE geometry in OQMD
No peak broadening, texture or thermal motion is included.

The 10 most intense peaks (2θ from 10° to 90°), in order of falling intensity:
| 2θ/deg | Rel. int. |
| --- | --- |
| 39.4 | 100 |
| 45.8 | 47 |
| 80.4 | 32 |
| 66.8 | 28 |
| 84.7 | 9 |
| 30.3 | 4 |
| 31.9 | 4 |
| 14.1 | 2 |
| 63.9 | 2 |
| 36.6 | 2 |

a = 6.268 Å, b = 6.268 Å, c = 3.962 Å
α = 90.00°, β = 90.00°, γ = 90.00°
Fractional positions:
Cu  0.092  0.178  0.000
Cu  0.178  0.908  0.500
Cu  0.822  0.092  0.500
Cu  0.908  0.822  0.000
Ag  0.000  0.500  0.500
Ag  0.289  0.606  0.000
Ag  0.394  0.289  0.500
Ag  0.500  0.000  0.000
Ag  0.606  0.711  0.500
Ag  0.711  0.394  0.000

=====

# 2
Computed powder XRD pattern
Compound: TbYCu2As4
Radiation: a wavelength of 1.5418 Å
Structure: the GGA-PBE geometry in OQMD
No peak broadening, texture or thermal motion is included.

The 10 most intense peaks (2θ from 10° to 90°), in order of falling intensity:
| 2θ/deg | Rel. int. |
| --- | --- |
| 37.2 | 100 |
| 46.4 | 35 |
| 35.6 | 21 |
| 79.9 | 21 |
| 29.1 | 20 |
| 51.8 | 15 |
| 36.4 | 13 |
| 60.4 | 12 |
| 24.5 | 11 |
| 67.7 | 11 |

a = 3.914 Å, b = 3.914 Å, c = 9.877 Å
α = 90.00°, β = 90.00°, γ = 90.00°
Fractional positions:
Tb  0.000  0.000  0.000
Y  0.500  0.500  0.473
Cu  0.000  0.500  0.737
Cu  0.500  0.000  0.737
As  0.000  0.000  0.577
As  0.000  0.500  0.237
As  0.500  0.000  0.237
As  0.500  0.500  0.896

=====

# 3
Computed powder XRD pattern
Compound: Rb3TaTeSe3
Radiation: a wavelength of 1.5418 Å
Structure: the GGA-PBE geometry in OQMD
No peak broadening, texture or thermal motion is included.

The 10 most intense peaks (2θ from 10° to 90°), in order of falling intensity:
| 2θ/deg | Rel. int. |
| --- | --- |
| 26.1 | 100 |
| 31.2 | 74 |
| 28.3 | 70 |
| 15.5 | 66 |
| 46.0 | 39 |
| 14.0 | 38 |
| 20.9 | 37 |
| 43.0 | 31 |
| 32.8 | 24 |
| 36.5 | 24 |

a = 7.155 Å, b = 7.155 Å, c = 7.155 Å
α = 106.39°, β = 106.39°, γ = 106.39°
Fractional positions:
Rb  0.185  0.185  0.630
Rb  0.185  0.630  0.185
Rb  0.630  0.185  0.185
Ta  0.716  0.716  0.716
Te  0.046  0.046  0.046
Se  0.385  0.725  0.725
Se  0.725  0.385  0.725
Se  0.725  0.725  0.385

=====

# 4
Computed powder XRD pattern
Compound: Cs2NiP2S6
Radiation: a wavelength of 1.5418 Å
Structure: the GGA-PBE geometry in OQMD
No peak broadening, texture or thermal motion is included.

The 10 most intense peaks (2θ from 10° to 90°), in order of falling intensity:
| 2θ/deg | Rel. int. |
| --- | --- |
| 30.1 | 100 |
| 23.7 | 76 |
| 31.7 | 69 |
| 31.6 | 50 |
| 20.4 | 42 |
| 20.6 | 41 |
| 19.5 | 36 |
| 22.9 | 33 |
| 48.6 | 31 |
| 39.7 | 29 |

a = 5.947 Å, b = 12.843 Å, c = 9.486 Å
α = 90.00°, β = 125.13°, γ = 90.00°
Fractional positions:
Cs  0.205  0.172  0.469
Cs  0.205  0.328  0.969
Cs  0.795  0.672  0.031
Cs  0.795  0.828  0.531
Ni  0.500  0.000  0.000
Ni  0.500  0.500  0.500
P  0.168  0.538  0.620
P  0.168  0.962  0.120
P  0.832  0.038  0.880
P  0.832  0.462  0.380
S  0.024  0.074  0.766
S  0.024  0.426  0.266
S  0.297  0.656  0.538
S  0.297  0.844  0.038
S  0.478  0.068  0.234
S  0.478  0.432  0.734
S  0.522  0.568  0.266
S  0.522  0.932  0.766
S  0.703  0.156  0.962
S  0.703  0.344  0.462
S  0.976  0.574  0.734
S  0.976  0.926  0.234

=====

# 5
Computed powder XRD pattern
Compound: LaNi2Pd2
Radiation: a wavelength of 1.5418 Å
Structure: the GGA-PBE geometry in OQMD
No peak broadening, texture or thermal motion is included.

The 10 most intense peaks (2θ from 10° to 90°), in order of falling intensity:
| 2θ/deg | Rel. int. |
| --- | --- |
| 35.2 | 100 |
| 44.0 | 56 |
| 33.5 | 56 |
| 48.4 | 30 |
| 56.4 | 25 |
| 67.5 | 22 |
| 75.2 | 21 |
| 64.0 | 18 |
| 46.4 | 17 |
| 87.9 | 13 |

a = 4.113 Å, b = 4.113 Å, c = 10.564 Å
α = 90.00°, β = 90.00°, γ = 90.00°
Fractional positions:
La  0.250  0.250  0.247
La  0.750  0.750  0.753
Ni  0.250  0.250  0.858
Ni  0.250  0.750  0.500
Ni  0.750  0.250  0.500
Ni  0.750  0.750  0.142
Pd  0.250  0.250  0.632
Pd  0.250  0.750  0.000
Pd  0.750  0.250  0.000
Pd  0.750  0.750  0.368

=====

# 6
Computed powder XRD pattern
Compound: CdPt2O4
Radiation: a wavelength of 1.5418 Å
Structure: the GGA-PBE geometry in OQMD
No peak broadening, texture or thermal motion is included.

The 10 most intense peaks (2θ from 10° to 90°), in order of falling intensity:
| 2θ/deg | Rel. int. |
| --- | --- |
| 32.6 | 100 |
| 34.1 | 42 |
| 57.2 | 41 |
| 52.2 | 40 |
| 16.9 | 34 |
| 39.6 | 22 |
| 81.1 | 22 |
| 68.3 | 21 |
| 27.7 | 15 |
| 67.4 | 13 |

a = 6.442 Å, b = 6.442 Å, c = 6.442 Å
α = 60.00°, β = 60.00°, γ = 60.00°
Fractional positions:
Cd  0.125  0.125  0.125
Cd  0.875  0.875  0.875
Pt  0.000  0.500  0.500
Pt  0.500  0.000  0.500
Pt  0.500  0.500  0.000
Pt  0.500  0.500  0.500
O  0.270  0.270  0.270
O  0.270  0.270  0.690
O  0.270  0.690  0.270
O  0.310  0.730  0.730
O  0.690  0.270  0.270
O  0.730  0.310  0.730
O  0.730  0.730  0.310
O  0.730  0.730  0.730

=====

# 7
Computed powder XRD pattern
Compound: Nd2YCu4Ge4
Radiation: a wavelength of 1.5418 Å
Structure: the GGA-PBE geometry in OQMD
No peak broadening, texture or thermal motion is included.

The 10 most intense peaks (2θ from 10° to 90°), in order of falling intensity:
| 2θ/deg | Rel. int. |
| --- | --- |
| 35.3 | 100 |
| 34.5 | 89 |
| 41.9 | 43 |
| 44.9 | 29 |
| 37.9 | 25 |
| 34.2 | 24 |
| 39.0 | 22 |
| 63.1 | 20 |
| 79.8 | 15 |
| 71.2 | 14 |

a = 8.155 Å, b = 8.155 Å, c = 8.155 Å
α = 149.31°, β = 131.59°, γ = 58.41°
Fractional positions:
Nd  0.132  0.132  0.000
Nd  0.868  0.868  0.000
Y  0.500  0.000  0.500
Cu  0.147  0.333  0.814
Cu  0.480  0.667  0.814
Cu  0.520  0.333  0.186
Cu  0.853  0.667  0.186
Ge  0.194  0.500  0.694
Ge  0.285  0.785  0.500
Ge  0.715  0.215  0.500
Ge  0.806  0.500  0.306

=====

# 8
Computed powder XRD pattern
Compound: La2AgAu
Radiation: a wavelength of 1.5418 Å
Structure: the GGA-PBE geometry in OQMD
No peak broadening, texture or thermal motion is included.

The 10 most intense peaks (2θ from 10° to 90°), in order of falling intensity:
| 2θ/deg | Rel. int. |
| --- | --- |
| 36.9 | 100 |
| 33.4 | 93 |
| 29.8 | 69 |
| 36.8 | 51 |
| 31.9 | 46 |
| 64.1 | 34 |
| 18.8 | 28 |
| 66.4 | 27 |
| 49.5 | 27 |
| 38.6 | 27 |

a = 4.881 Å, b = 7.582 Å, c = 6.041 Å
α = 90.00°, β = 90.00°, γ = 90.00°
Fractional positions:
La  0.000  0.068  0.000
La  0.000  0.570  0.227
La  0.500  0.430  0.727
La  0.500  0.932  0.500
Ag  0.000  0.709  0.725
Ag  0.500  0.291  0.225
Au  0.000  0.209  0.503
Au  0.500  0.791  0.003

=====

# 9
Computed powder XRD pattern
Compound: HfCd2Hg2
Radiation: a wavelength of 1.5418 Å
Structure: the GGA-PBE geometry in OQMD
No peak broadening, texture or thermal motion is included.

The 10 most intense peaks (2θ from 10° to 90°), in order of falling intensity:
| 2θ/deg | Rel. int. |
| --- | --- |
| 32.9 | 100 |
| 41.3 | 44 |
| 42.5 | 39 |
| 71.7 | 22 |
| 29.8 | 20 |
| 28.1 | 13 |
| 60.8 | 13 |
| 61.6 | 13 |
| 82.3 | 12 |
| 76.9 | 11 |

a = 7.032 Å, b = 7.032 Å, c = 7.032 Å
α = 144.77°, β = 144.77°, γ = 50.68°
Fractional positions:
Hf  0.000  0.000  0.000
Cd  0.398  0.398  0.000
Cd  0.602  0.602  0.000
Hg  0.250  0.750  0.500
Hg  0.750  0.250  0.500

=====

# 10
Computed powder XRD pattern
Compound: CdPbSeO
Radiation: a wavelength of 1.5418 Å
Structure: the GGA-PBE geometry in OQMD
No peak broadening, texture or thermal motion is included.

The 10 most intense peaks (2θ from 10° to 90°), in order of falling intensity:
| 2θ/deg | Rel. int. |
| --- | --- |
| 25.3 | 100 |
| 30.3 | 57 |
| 32.1 | 49 |
| 28.1 | 35 |
| 29.6 | 33 |
| 41.3 | 26 |
| 37.6 | 25 |
| 27.4 | 25 |
| 45.0 | 24 |
| 43.7 | 22 |

a = 6.517 Å, b = 7.267 Å, c = 8.059 Å
α = 90.00°, β = 90.00°, γ = 90.00°
Fractional positions:
Cd  0.054  0.171  0.393
Cd  0.446  0.829  0.893
Cd  0.554  0.329  0.607
Cd  0.946  0.671  0.107
Pb  0.069  0.556  0.657
Pb  0.431  0.444  0.157
Pb  0.569  0.944  0.343
Pb  0.931  0.056  0.843
Se  0.145  0.813  0.366
Se  0.355  0.187  0.866
Se  0.645  0.687  0.634
Se  0.855  0.313  0.134
O  0.117  0.744  0.881
O  0.383  0.256  0.381
O  0.617  0.756  0.119
O  0.883  0.244  0.619